Theoretical powder diffraction line list
Compound: AlV2Fe5Mo2
Radiation: Cu Ka
Structure: a cell relaxed with GGA-PBE

Peak list (8 most intense, 2θ = 15–90°, in order of rising 2θ)
h k l	2θ (°)	I/Imax
2 0 1	36.77	31
2 1 1	38.03	19
4 1 0	39.47	64
3 3 0	40.67	67
2 2 1	41.63	34
3 1 1	43.90	100
3 2 1	47.13	29
4 0 1	50.20	29

Atomic structure:
Cell: 9.412 9.412 2.861 Å, 90.00 90.00 90.00°
Space group P4/mbm (No. 127)
Unique sites:
Al 0.000 0.000 0.000
V 0.136 0.364 0.000
Fe 0.000 0.500 0.500
Fe 0.041 0.202 0.500
Mo 0.179 0.679 0.000



Theoretical powder diffraction line list
Compound: Al2FeN
Radiation: Cu Ka
Structure: a cell relaxed with GGA-PBE

Peak list (8 most intense, 2θ = 15–90°, in order of rising 2θ)
h k l	2θ (°)	I/Imax
1 0 1	21.50	19
2 1 1	37.40	73
1 1 2	37.84	100
2 2 0	43.28	45
3 0 1	48.82	23
3 1 2	58.82	37
2 0 4	72.84	21
4 3 1	83.41	14

Atomic structure:
Cell: 5.913 5.913 5.782 Å, 90.00 90.00 90.00°
Space group I-42d (No. 122)
Unique sites:
Al 0.169 0.750 0.125
Fe 0.000 0.000 0.500
N 0.000 0.000 0.000



Theoretical powder diffraction line list
Compound: AlFeN2
Radiation: Cu Ka
Structure: a cell relaxed with GGA-PBE

Peak list (8 most intense, 2θ = 15–90°, in order of rising 2θ)
h k l	2θ (°)	I/Imax
0 1 1	22.98	19
2 0 0	33.34	67
0 0 2	36.31	47
1 2 1	38.10	100
2 0 2	50.12	26
0 4 0	59.58	40
1 2 3	66.52	37
0 4 2	71.81	31

Atomic structure:
Cell: 5.372 6.211 4.948 Å, 90.00 90.00 90.00°
Space group Pna2_1 (No. 33)
Unique sites:
Al 0.086 0.124 0.000
Fe 0.075 0.624 0.996
N 0.084 0.630 0.373
N 0.090 0.125 0.388